Simulated powder XRD pattern
Compound: Er3Ru
Radiation: CuKα
Structure: DFT lattice parameters and positions (GGA-PBE)

Atomic structure:
a b c (Å): 11.5369 11.5369 6.0423
angles (deg): 90.00 90.00 90.00
Space group I-4 (No. 82)
Asymmetric unit:
Er  0.9998  0.1419  0.2499 x8
Er  0.0963  0.4037  0.5104 x8
Er  0.2028  0.2969  0.9545 x8
Ru  0.9997  0.2118  0.7502 x8

Peak list (6 most intense, 10 to 90 degrees two-theta, by angle)
- 2θ = 31.61°, rel. 1000
- 2θ = 32.94°, rel. 303
- 2θ = 34.78°, rel. 208
- 2θ = 35.35°, rel. 584
- 2θ = 37.03°, rel. 247
- 2θ = 53.78°, rel. 160